# 1
Starting from a structure optimized by DFT (PBE), the powder diffractogram of Ba2LiHoRuO6 was calculated for copper Kα.

Structure:
Lattice parameters (Å, degrees): 5.9129 5.9655 8.8869 90.00 90.00 90.00
Space group Immm (No. 71)
One atom of each set of equivalent atoms:
Ba 0.0000 0.0000 0.2076 x4
Li 0.0000 0.0000 0.5000 x2
Ho 0.0000 0.5000 0.0000 x2
Ru 0.0000 0.5000 0.5000 x2
O 0.0000 0.5000 0.2665 x4
O 0.2324 0.2510 0.5000 x8

Top 12 peaks for 10° ≤ 2θ ≤ 90°, by intensity:
- 29.26 deg, d 3.052, rel. 100, hkl 1 1 2
- 43.08 deg, d 2.100, rel. 33, hkl 2 2 0
- 29.96 deg, d 2.983, rel. 29, hkl 0 2 0
- 30.23 deg, d 2.956, rel. 28, hkl 2 0 0
- 52.76 deg, d 1.735, rel. 20, hkl 1 3 2
- 53.10 deg, d 1.725, rel. 19, hkl 3 1 2
- 33.80 deg, d 2.652, rel. 14, hkl 0 1 3
- 60.69 deg, d 1.526, rel. 14, hkl 2 2 4
- 40.61 deg, d 2.222, rel. 12, hkl 0 0 4
- 62.86 deg, d 1.478, rel. 10, hkl 4 0 0
- 45.96 deg, d 1.975, rel. 10, hkl 2 1 3
- 18.02 deg, d 4.923, rel. 9, hkl 1 0 1

=====

# 2
Starting from a structure optimized by DFT (PBE), the powder diffractogram of LiB was calculated for copper Kα.

Structure:
Lattice parameters (Å, degrees): 4.8254 4.8254 4.8254 90.00 90.00 90.00
Space group Fd-3m (No. 227, origin choice 2)
One atom of each set of equivalent atoms:
Li 0.1250 0.1250 0.1250 x8
B 0.1250 0.1250 0.6250 x8

Top 5 peaks for 10° ≤ 2θ ≤ 90°, by intensity:
- 53.73 deg, d 1.706, rel. 100, hkl 2 2 0
- 79.44 deg, d 1.206, rel. 15, hkl 4 0 0
- 32.13 deg, d 2.786, rel. 11, hkl 1 1 1
- 88.28 deg, d 1.107, rel. 1, hkl 3 3 1
- 63.99 deg, d 1.455, rel. 1, hkl 3 1 1

=====

# 3
Starting from a structure optimized by DFT (PBE), the powder diffractogram of CeCu5Sn was calculated for copper Kα.

Structure:
Lattice parameters (Å, degrees): 8.3243 5.0632 10.5758 90.00 90.00 90.00
Space group Pnma (No. 62)
One atom of each set of equivalent atoms:
Ce 0.2459 0.2500 0.0591 x4
Cu 0.0628 0.7500 0.1031 x4
Cu 0.0697 0.0000 0.3114 x8
Cu 0.0822 0.2500 0.5165 x4
Cu 0.1809 0.2500 0.7444 x4
Sn 0.1397 0.7500 0.8595 x4

Top 12 peaks for 10° ≤ 2θ ≤ 90°, by intensity:
- 37.91 deg, d 2.373, rel. 100, hkl 3 1 1
- 44.36 deg, d 2.042, rel. 47, hkl 2 1 4
- 45.43 deg, d 1.996, rel. 29, hkl 1 2 3
- 35.63 deg, d 2.520, rel. 27, hkl 1 0 4
- 42.67 deg, d 2.119, rel. 25, hkl 2 2 1
- 69.91 deg, d 1.346, rel. 24, hkl 5 2 2
- 35.46 deg, d 2.532, rel. 24, hkl 0 2 0
- 65.29 deg, d 1.429, rel. 19, hkl 3 3 1
- 65.54 deg, d 1.424, rel. 19, hkl 4 1 5
- 32.77 deg, d 2.733, rel. 18, hkl 1 1 3
- 30.91 deg, d 2.893, rel. 17, hkl 0 1 3
- 44.18 deg, d 2.050, rel. 16, hkl 1 0 5

=====

# 4
Starting from a structure optimized by DFT (PBE), the powder diffractogram of Gd was calculated for copper Kα.

Structure:
Lattice parameters (Å, degrees): 5.0432 5.0432 5.0432 90.00 90.00 90.00
Space group Fm-3m (No. 225)
One atom of each set of equivalent atoms:
Gd 0.0000 0.0000 0.0000 x4

Top 8 peaks for 10° ≤ 2θ ≤ 90°, by intensity:
- 30.71 deg, d 2.912, rel. 100, hkl 1 1 1
- 35.60 deg, d 2.522, rel. 51, hkl 2 0 0
- 60.93 deg, d 1.521, rel. 43, hkl 3 1 1
- 51.24 deg, d 1.783, rel. 36, hkl 2 2 0
- 83.57 deg, d 1.157, rel. 18, hkl 3 3 1
- 86.26 deg, d 1.128, rel. 17, hkl 4 2 0
- 63.95 deg, d 1.456, rel. 12, hkl 2 2 2
- 75.39 deg, d 1.261, rel. 6, hkl 4 0 0

=====

# 5
Starting from a structure optimized by DFT (PBE), the powder diffractogram of NbCr3Cu2S8 was calculated for copper Kα.

Structure:
Lattice parameters (Å, degrees): 7.0077 7.1435 9.9092 90.00 90.00 90.00
Space group P222_1 (No. 17)
One atom of each set of equivalent atoms:
Nb 0.0000 0.2334 0.2500 x2
Cr 0.2402 0.0000 0.5000 x2
Cr 0.2426 0.5000 0.5000 x2
Cr 0.5000 0.2522 0.2500 x2
Cu 0.2689 0.2569 0.8781 x4
S 0.0068 0.2519 0.4993 x4
S 0.2530 0.4854 0.2561 x4
S 0.2588 0.0052 0.2554 x4
S 0.4694 0.2496 0.4899 x4

Top 12 peaks for 10° ≤ 2θ ≤ 90°, by intensity:
- 29.80 deg, d 2.998, rel. 100, hkl 0 1 3
- 51.95 deg, d 1.760, rel. 90, hkl 2 2 4
- 35.90 deg, d 2.501, rel. 48, hkl 2 2 0
- 29.48 deg, d 3.030, rel. 46, hkl 1 2 1
- 25.30 deg, d 3.520, rel. 34, hkl 1 1 2
- 47.04 deg, d 1.932, rel. 28, hkl 2 3 1
- 36.26 deg, d 2.477, rel. 24, hkl 0 0 4
- 51.15 deg, d 1.786, rel. 24, hkl 0 4 0
- 29.91 deg, d 2.988, rel. 23, hkl 1 0 3
- 47.65 deg, d 1.908, rel. 22, hkl 0 1 5
- 52.21 deg, d 1.752, rel. 20, hkl 4 0 0
- 47.40 deg, d 1.918, rel. 18, hkl 3 2 1

=====

# 6
Starting from a structure optimized by DFT (PBE), the powder diffractogram of Re3N was calculated for copper Kα.

Structure:
Lattice parameters (Å, degrees): 2.8374 2.8374 7.1969 90.00 90.00 120.00
Space group P-6m2 (No. 187)
One atom of each set of equivalent atoms:
Re 0.0000 0.0000 0.0000 x1
Re 0.6667 0.3333 0.3015 x2
N 0.0000 0.0000 0.5000 x1

Top 12 peaks for 10° ≤ 2θ ≤ 90°, by intensity:
- 44.66 deg, d 2.029, rel. 100, hkl 1 0 2
- 38.72 deg, d 2.325, rel. 51, hkl 1 0 1
- 36.57 deg, d 2.457, rel. 49, hkl 1 0 0
- 37.49 deg, d 2.399, rel. 33, hkl 0 0 3
- 65.83 deg, d 1.419, rel. 28, hkl 1 1 0
- 76.74 deg, d 1.242, rel. 26, hkl 1 0 5
- 78.29 deg, d 1.221, rel. 25, hkl 1 1 3
- 53.37 deg, d 1.717, rel. 23, hkl 1 0 3
- 83.06 deg, d 1.163, rel. 17, hkl 2 0 2
- 87.58 deg, d 1.114, rel. 7, hkl 1 1 4
- 79.07 deg, d 1.211, rel. 7, hkl 2 0 1
- 89.65 deg, d 1.094, rel. 6, hkl 2 0 3

=====

# 7
Starting from a structure optimized by DFT (PBE), the powder diffractogram of Sc3RuC4 was calculated for copper Kα.

Structure:
Lattice parameters (Å, degrees): 3.3329 4.5040 12.4282 90.00 90.00 90.00
Space group Immm (No. 71)
One atom of each set of equivalent atoms:
Sc 0.0000 0.0000 0.0000 x2
Sc 0.0000 0.5000 0.1894 x4
Ru 0.0000 0.0000 0.5000 x2
C 0.0000 0.3413 0.3709 x8

Top 12 peaks for 10° ≤ 2θ ≤ 90°, by intensity:
- 36.52 deg, d 2.460, rel. 100, hkl 1 1 2
- 14.25 deg, d 6.214, rel. 36, hkl 0 0 2
- 44.66 deg, d 2.029, rel. 33, hkl 1 1 4
- 20.98 deg, d 4.235, rel. 25, hkl 0 1 1
- 40.04 deg, d 2.252, rel. 20, hkl 0 2 0
- 41.49 deg, d 2.176, rel. 18, hkl 0 1 5
- 53.89 deg, d 1.701, rel. 16, hkl 1 2 3
- 34.54 deg, d 2.597, rel. 15, hkl 1 0 3
- 43.70 deg, d 2.071, rel. 14, hkl 0 0 6
- 70.01 deg, d 1.344, rel. 14, hkl 1 1 8
- 70.43 deg, d 1.337, rel. 13, hkl 1 3 2
- 28.73 deg, d 3.107, rel. 12, hkl 0 0 4

=====

# 8
Starting from a structure optimized by DFT (PBE), the powder diffractogram of Ag2TeO4 was calculated for copper Kα.

Structure:
Lattice parameters (Å, degrees): 6.2098 6.2401 7.3132 103.50 103.99 116.18
Space group P-1 (No. 2)
One atom of each set of equivalent atoms:
Ag 0.0202 0.4713 0.2490 x2
Ag 0.2829 0.2211 0.7492 x2
Te 0.3778 0.1231 0.2508 x2
O 0.1878 0.1517 0.4076 x2
O 0.2453 0.7755 0.0952 x2
O 0.2722 0.7457 0.5920 x2
O 0.3497 0.3107 0.0904 x2

Top 12 peaks for 10° ≤ 2θ ≤ 90°, by intensity:
- 30.42 deg, d 2.939, rel. 100, hkl 1 1 0
- 27.30 deg, d 3.266, rel. 62, hkl 0 0 2
- 29.50 deg, d 3.028, rel. 60, hkl 1 -2 0
- 29.63 deg, d 3.015, rel. 60, hkl 2 -1 0
- 45.51 deg, d 1.993, rel. 22, hkl 2 -1 2
- 45.20 deg, d 2.006, rel. 21, hkl -1 2 2
- 50.23 deg, d 1.816, rel. 15, hkl 1 1 2
- 50.25 deg, d 1.816, rel. 15, hkl 1 1 -4
- 49.31 deg, d 1.848, rel. 15, hkl 0 3 -1
- 49.56 deg, d 1.839, rel. 15, hkl 3 0 -2
- 63.29 deg, d 1.469, rel. 14, hkl 2 2 0
- 53.77 deg, d 1.705, rel. 14, hkl -3 3 1

=====

# 9
Starting from a structure optimized by DFT (PBE), the powder diffractogram of PdSeO3 was calculated for copper Kα.

Structure:
Lattice parameters (Å, degrees): 7.2358 7.1257 7.2682 90.00 119.18 90.00
Space group C2/m (No. 12)
One atom of each set of equivalent atoms:
Pd 0.2500 0.2500 0.0000 x4
Se 0.1665 0.0000 0.3444 x4
O 0.1108 0.0000 0.8653 x4
O 0.2393 0.3047 0.7200 x8

Top 12 peaks for 10° ≤ 2θ ≤ 90°, by intensity:
- 28.74 deg, d 3.107, rel. 100, hkl 0 2 1
- 35.36 deg, d 2.538, rel. 96, hkl 2 2 -1
- 28.25 deg, d 3.159, rel. 91, hkl 2 0 0
- 13.96 deg, d 6.346, rel. 72, hkl 0 0 1
- 37.96 deg, d 2.371, rel. 66, hkl 2 0 -3
- 27.56 deg, d 3.237, rel. 55, hkl 1 1 -2
- 28.54 deg, d 3.127, rel. 54, hkl 2 0 -2
- 18.77 deg, d 4.727, rel. 44, hkl 1 1 0
- 18.88 deg, d 4.700, rel. 35, hkl 1 1 -1
- 27.33 deg, d 3.263, rel. 33, hkl 1 1 1
- 42.75 deg, d 2.115, rel. 32, hkl 0 0 3
- 56.89 deg, d 1.619, rel. 31, hkl 2 2 -4

=====

# 10
Starting from a structure optimized by DFT (PBE), the powder diffractogram of K2NaScCl6 was calculated for copper Kα.

Structure:
Lattice parameters (Å, degrees): 10.4461 10.4461 10.4461 90.00 90.00 90.00
Space group Fm-3m (No. 225)
One atom of each set of equivalent atoms:
K 0.2500 0.2500 0.2500 x8
Na 0.0000 0.0000 0.0000 x4
Sc 0.0000 0.0000 0.5000 x4
Cl 0.0000 0.0000 0.2615 x24

Top 12 peaks for 10° ≤ 2θ ≤ 90°, by intensity:
- 34.34 deg, d 2.612, rel. 100, hkl 4 0 0
- 29.62 deg, d 3.016, rel. 80, hkl 2 2 2
- 49.35 deg, d 1.847, rel. 61, hkl 4 4 0
- 24.10 deg, d 3.693, rel. 25, hkl 2 2 0
- 58.62 deg, d 1.575, rel. 24, hkl 6 2 2
- 82.61 deg, d 1.168, rel. 23, hkl 8 4 0
- 61.50 deg, d 1.508, rel. 19, hkl 4 4 4
- 16.98 deg, d 5.223, rel. 19, hkl 2 0 0
- 14.69 deg, d 6.031, rel. 13, hkl 1 1 1
- 42.39 deg, d 2.132, rel. 10, hkl 4 2 2
- 80.09 deg, d 1.198, rel. 9, hkl 6 6 2
- 72.37 deg, d 1.306, rel. 8, hkl 8 0 0

=====

# 11
Starting from a structure optimized by DFT (PBE), the powder diffractogram of Pr2Mo2C3 was calculated for copper Kα.

Structure:
Lattice parameters (Å, degrees): 6.0283 6.7087 12.0941 90.00 112.10 90.00
Space group P2_1/c (No. 14)
One atom of each set of equivalent atoms:
Pr 0.1881 0.2161 0.0906 x4
Pr 0.2292 0.0011 0.3627 x4
Mo 0.3190 0.0052 0.8805 x4
Mo 0.3227 0.7439 0.1570 x4
C 0.0027 0.1285 0.8597 x4
C 0.4428 0.7183 0.5106 x4
C 0.4673 0.0140 0.7480 x4

Top 12 peaks for 10° ≤ 2θ ≤ 90°, by intensity:
- 32.10 deg, d 2.788, rel. 100, hkl 1 2 -2
- 37.83 deg, d 2.378, rel. 40, hkl 1 2 2
- 35.86 deg, d 2.504, rel. 31, hkl 2 0 -4
- 31.95 deg, d 2.801, rel. 30, hkl 0 0 4
- 34.75 deg, d 2.582, rel. 21, hkl 2 1 0
- 62.12 deg, d 1.494, rel. 15, hkl 3 2 -6
- 53.04 deg, d 1.726, rel. 15, hkl 1 2 -6
- 29.65 deg, d 3.013, rel. 14, hkl 1 1 2
- 64.82 deg, d 1.438, rel. 12, hkl 0 4 4
- 54.71 deg, d 1.678, rel. 11, hkl 0 4 0
- 53.18 deg, d 1.722, rel. 10, hkl 3 2 -2
- 32.82 deg, d 2.729, rel. 8, hkl 2 1 -1

=====

# 12
Starting from a structure optimized by DFT (PBE), the powder diffractogram of Li3Nb was calculated for copper Kα.

Structure:
Lattice parameters (Å, degrees): 5.7453 5.7453 4.5189 90.00 90.00 120.00
Space group P6_3/mmc (No. 194)
One atom of each set of equivalent atoms:
Li 0.1659 0.3318 0.2500 x6
Nb 0.3333 0.6667 0.7500 x2

Top 12 peaks for 10° ≤ 2θ ≤ 90°, by intensity:
- 26.65 deg, d 3.345, rel. 100, hkl 1 0 1
- 41.43 deg, d 2.179, rel. 45, hkl 2 0 1
- 31.13 deg, d 2.873, rel. 44, hkl 1 1 0
- 17.83 deg, d 4.976, rel. 44, hkl 1 0 0
- 52.72 deg, d 1.736, rel. 29, hkl 2 1 1
- 51.46 deg, d 1.776, rel. 21, hkl 1 1 2
- 71.48 deg, d 1.320, rel. 11, hkl 3 1 1
- 39.90 deg, d 2.259, rel. 11, hkl 0 0 2
- 36.10 deg, d 2.488, rel. 11, hkl 2 0 0
- 78.99 deg, d 1.212, rel. 8, hkl 2 2 2
- 44.02 deg, d 2.057, rel. 8, hkl 1 0 2
- 55.40 deg, d 1.659, rel. 8, hkl 3 0 0

=====

# 13
Starting from a structure optimized by DFT (PBE), the powder diffractogram of TbNi2Sb2 was calculated for copper Kα.

Structure:
Lattice parameters (Å, degrees): 4.4386 4.4386 9.9436 90.00 90.00 90.00
Space group P4/nmm (No. 129, origin choice 2)
One atom of each set of equivalent atoms:
Tb 0.2500 0.2500 0.2388 x2
Ni 0.2500 0.2500 0.6236 x2
Ni 0.2500 0.7500 0.0000 x2
Sb 0.2500 0.2500 0.8718 x2
Sb 0.2500 0.7500 0.5000 x2

Top 12 peaks for 10° ≤ 2θ ≤ 90°, by intensity:
- 33.76 deg, d 2.655, rel. 100, hkl 1 1 2
- 40.65 deg, d 2.219, rel. 42, hkl 2 0 0
- 53.83 deg, d 1.703, rel. 21, hkl 2 1 3
- 69.60 deg, d 1.351, rel. 19, hkl 3 1 2
- 58.85 deg, d 1.569, rel. 14, hkl 2 2 0
- 50.27 deg, d 1.815, rel. 13, hkl 1 0 5
- 66.57 deg, d 1.405, rel. 13, hkl 2 1 5
- 46.61 deg, d 1.949, rel. 10, hkl 1 1 4
- 28.44 deg, d 3.139, rel. 10, hkl 1 1 0
- 63.48 deg, d 1.466, rel. 8, hkl 1 1 6
- 29.85 deg, d 2.993, rel. 7, hkl 1 1 1
- 83.83 deg, d 1.154, rel. 6, hkl 3 2 3